# 1
The following is a computed powder diffractogram of SrCa3Mn4O11. It was derived from the GGA+U geometry in the Materials Project, using Cu Kα, 1.54184 Å.

Largest 10 diffraction maxima, in order of rising 2θ, 2θ = 10–90°:
2θ 23.06, I 5
2θ 25.81, I 6
2θ 32.83, I 100
2θ 40.49, I 7
2θ 47.11, I 43
2θ 58.60, I 36
2θ 68.82, I 23
2θ 78.34, I 10
2θ 78.44, I 5
2θ 87.60, I 7

Crystal structure
Lattice parameters (Å, degrees): 7.719 7.711 7.720 90.00 90.00 90.00
Space group Pmma (No. 51)
Symmetry-distinct sites (fractional):
Sr1 0.000 0.000 0.000 x2
Ca1 0.000 0.000 0.500 x2
Ca2 0.000 0.500 0.000 x2
Ca3 0.000 0.500 0.500 x2
Mn1 0.250 0.245 0.252 x4
Mn2 0.250 0.259 0.748 x4
O1 0.005 0.233 0.745 x8
O2 0.250 0.000 0.252 x2
O3 0.250 0.227 0.505 x4
O4 0.250 0.240 0.996 x4
O5 0.250 0.500 0.254 x2
O6 0.250 0.500 0.746 x2

***

# 2
The following is a computed powder diffractogram of LiMn3B3O9. It was derived from the GGA+U geometry in the Materials Project, using Cu Kα, 1.54184 Å.

Largest 10 diffraction maxima, in order of rising 2θ, 2θ = 10–90°:
2θ 19.67, I 100
2θ 20.24, I 33
2θ 22.21, I 79
2θ 22.70, I 90
2θ 33.49, I 47
2θ 35.49, I 84
2θ 37.19, I 32
2θ 41.15, I 28
2θ 52.21, I 41
2θ 53.52, I 33

Crystal structure
Lattice parameters (Å, degrees): 5.920 7.934 9.120 109.56 107.22 98.61
Space group P-1 (No. 2)
Symmetry-distinct sites (fractional):
Li1 0.109 0.292 0.288 x2
Mn1 0.018 0.272 0.602 x2
Mn2 0.302 0.055 0.079 x2
Mn3 0.398 0.630 0.253 x2
B1 0.051 0.303 0.946 x2
B2 0.263 0.022 0.727 x2
B3 0.380 0.620 0.595 x2
O1 0.016 0.179 0.025 x2
O2 0.090 0.855 0.645 x2
O3 0.112 0.752 0.221 x2
O4 0.222 0.578 0.428 x2
O5 0.239 0.458 0.020 x2
O6 0.283 0.151 0.656 x2
O7 0.337 0.487 0.659 x2
O8 0.423 0.226 0.322 x2
O9 0.427 0.073 0.891 x2